Record 1
Theoretical powder diffraction line list
Compound: Sr6C7
Radiation: Cu Ka
Structure: the GGA-PBE geometry in Alexandria

Atomic structure:
a b c (Å): 4.9333 4.9333 53.9877
angles (deg): 90.00 90.00 120.00
Space group R-3m (No. 166, hexagonal axes)
Unique sites:
Sr 0.0000 0.0000 0.1346 [6 per cell]
Sr 0.0000 0.0000 0.2637 [6 per cell]
Sr 0.0000 0.0000 0.3535 [6 per cell]
C 0.0000 0.0000 0.0000 [3 per cell]
C 0.0983 0.1967 0.9615 [18 per cell]

Largest 8 diffraction maxima, by angle, 2θ from 10° to 80°:
21.05°, intensity 34, (0 1 2); 24.67°, intensity 100, (0 1 8); 26.61°, intensity 90, (1 0 10); 30.01°, intensity 46, (1 0 13); 36.42°, intensity 71, (1 1 0); 44.01°, intensity 31, (0 1 23); 44.51°, intensity 44, (2 0 8); 58.81°, intensity 21, (1 2 8)

***

Record 2
Theoretical powder diffraction line list
Compound: Sr4C
Radiation: Cu Ka
Structure: the GGA-PBE geometry in Alexandria

Atomic structure:
a b c (Å): 4.0976 4.0976 14.9703
angles (deg): 90.00 90.00 120.00
Space group P-3m1 (No. 164)
Unique sites:
Sr 0.3333 0.6667 0.1168 [2 per cell]
Sr 0.3333 0.6667 0.4057 [2 per cell]
C 0.0000 0.0000 0.5000 [1 per cell]

Largest 8 diffraction maxima, by angle, 2θ from 10° to 80°:
23.77°, intensity 36, (0 0 4); 25.09°, intensity 31, (1 0 0); 25.80°, intensity 75, (1 0 1); 30.92°, intensity 100, (0 1 3); 34.84°, intensity 30, (1 0 4); 44.21°, intensity 32, (1 1 0); 49.78°, intensity 28, (0 1 7); 50.81°, intensity 27, (1 1 4)

***

Record 3
Theoretical powder diffraction line list
Compound: Sr3C
Radiation: Cu Ka
Structure: the GGA-PBE geometry in Alexandria

Atomic structure:
a b c (Å): 5.672 13.636 4.084
angles (deg): 90.00 90.00 90.00
Space group Cmmm (No. 65)
Unique sites:
Sr 0.000 0.000 0.000 [2 per cell]
Sr 0.000 0.370 0.500 [4 per cell]
C 0.000 0.500 0.000 [2 per cell]

Largest 8 diffraction maxima, by angle, 2θ from 10° to 80°:
12.98°, intensity 32, (0 2 0); 25.11°, intensity 74, (1 3 0); 27.70°, intensity 100, (1 1 1); 31.55°, intensity 35, (2 0 0); 34.26°, intensity 61, (0 4 1); 47.26°, intensity 43, (2 4 1); 51.65°, intensity 21, (1 3 2); 53.83°, intensity 23, (0 8 0)

***

Record 4
Theoretical powder diffraction line list
Compound: Sr3C
Radiation: Cu Ka
Structure: the GGA-PBE geometry in Alexandria

Atomic structure:
a b c (Å): 7.236 11.560 6.547
angles (deg): 90.00 90.00 90.00
Space group Pnma (No. 62)
Unique sites:
Sr 0.079 0.250 0.203 [4 per cell]
Sr 0.169 0.101 0.715 [8 per cell]
C 0.099 0.750 0.421 [4 per cell]

Largest 8 diffraction maxima, by angle, 2θ from 10° to 80°:
25.80°, intensity 44, (2 1 0); 26.85°, intensity 100, (0 3 1); 27.24°, intensity 43, (0 0 2); 29.24°, intensity 27, (2 1 1); 32.23°, intensity 30, (2 2 1); 37.87°, intensity 30, (2 1 2); 42.34°, intensity 38, (2 4 1); 63.53°, intensity 18, (4 3 2)

***

- Number 3 is which compound?
  Sr3C